Computed powder diffraction line list of PrTh2Rh3 for λ = 1.5418 Å (Cu Kα), from a cell relaxed with PBE.

Largest 12 diffraction maxima, most intense first, 10° ≤ 2θ ≤ 90°:
30.75°, intensity 100
44.06°, intensity 62
72.73°, intensity 22
26.54°, intensity 17
54.58°, intensity 13
54.75°, intensity 13
43.92°, intensity 13
81.10°, intensity 13
64.04°, intensity 12
80.82°, intensity 8
52.20°, intensity 6
72.52°, intensity 6

Atomic structure:
a b c (Å): 13.6189 12.9889 7.1251
angles (deg): 79.41 69.64 30.95
Fractional positions:
Pr  0.0413  0.0413  0.2087
Pr  0.2087  0.2087  0.0413
Pr  0.7913  0.7913  0.9587
Pr  0.9587  0.9587  0.7913
Th  0.1251  0.1251  0.6249
Th  0.2921  0.2921  0.4579
Th  0.3751  0.3751  0.8749
Th  0.4579  0.4579  0.2921
Th  0.5421  0.5421  0.7079
Th  0.6249  0.6249  0.1251
Th  0.7079  0.7079  0.5421
Th  0.8749  0.8749  0.3751
Rh  0.0446  0.5433  0.2180
Rh  0.1341  0.6159  0.6159
Rh  0.2180  0.6940  0.0446
Rh  0.3060  0.7820  0.4567
Rh  0.3841  0.8659  0.8659
Rh  0.4567  0.9554  0.3060
Rh  0.5433  0.0446  0.6940
Rh  0.6159  0.1341  0.1341
Rh  0.6940  0.2180  0.5433
Rh  0.7820  0.3060  0.9554
Rh  0.8659  0.3841  0.3841
Rh  0.9554  0.4567  0.7820